Computed powder diffractogram of SrTbAs2Pd5 for copper Kα, from the PBE geometry in Alexandria.
Kinematic intensities with the Lorentz-polarization factor, no thermal factor.

Crystal structure
Cell lengths 4.3759, 4.3759, 8.9898 Å; angles 90.00, 90.00, 90.00 degrees
Space group P4/mmm (No. 123)
One atom of each set of equivalent atoms:
1 Sr 0.0000 0.0000 0.0000 x1
2 Tb 0.0000 0.0000 0.5000 x1
3 As 0.5000 0.5000 0.3625 x2
4 Pd 0.0000 0.5000 0.2381 x4
5 Pd 0.5000 0.5000 0.0000 x1

The 10 most intense peaks (10 to 90 degrees two-theta), most intense first:
2theta, d/Å, I (rel.)
35.21, 2.549, 100
41.26, 2.188, 49
71.30, 1.323, 27
59.77, 1.547, 16
69.73, 1.349, 15
36.34, 2.472, 15
58.91, 1.568, 15
40.12, 2.247, 12
56.13, 1.639, 9
28.47, 3.135, 8


Computed powder diffractogram of Sr2TeAsPd6 for copper Kα, from the PBE geometry in Alexandria.
Kinematic intensities with the Lorentz-polarization factor, no thermal factor.

Crystal structure
Cell lengths 5.6917, 9.0564, 8.5756 Å; angles 90.00, 90.00, 90.00 degrees
Space group Pmmn (No. 59, origin choice 2)
One atom of each set of equivalent atoms:
1 Sr 0.2500 0.0013 0.2310 x4
2 Te 0.2500 0.7500 0.7695 x2
3 As 0.2500 0.2500 0.7431 x2
4 Pd 0.0030 0.7500 0.4951 x4
5 Pd 0.0050 0.2500 0.9772 x4
6 Pd 0.2500 0.0020 0.6068 x4

The 10 most intense peaks (10 to 90 degrees two-theta), most intense first:
2theta, d/Å, I (rel.)
37.95, 2.371, 100
40.55, 2.225, 91
39.81, 2.264, 84
37.32, 2.409, 74
56.17, 1.637, 63
43.06, 2.101, 63
27.23, 3.275, 51
32.80, 2.731, 48
28.67, 3.113, 47
10.32, 8.576, 41


Computed powder diffractogram of Sr2TiAs4Pd3 for copper Kα, from the PBE geometry in Alexandria.
Kinematic intensities with the Lorentz-polarization factor, no thermal factor.

Crystal structure
Cell lengths 4.3486, 4.3486, 10.8861 Å; angles 90.00, 90.00, 90.00 degrees
Space group P-4m2 (No. 115)
One atom of each set of equivalent atoms:
1 Sr 0.0000 0.5000 0.2387 x2
2 Ti 0.0000 0.0000 0.5000 x1
3 As 0.0000 0.0000 0.0000 x1
4 As 0.0000 0.5000 0.6321 x2
5 As 0.5000 0.5000 0.0000 x1
6 Pd 0.0000 0.5000 0.8706 x2
7 Pd 0.5000 0.5000 0.5000 x1

The 10 most intense peaks (10 to 90 degrees two-theta), most intense first:
2theta, d/Å, I (rel.)
33.47, 2.677, 100
41.53, 2.174, 77
32.13, 2.786, 72
44.45, 2.038, 44
46.66, 1.947, 34
53.46, 1.714, 33
64.22, 1.450, 25
60.19, 1.537, 25
70.65, 1.333, 22
83.88, 1.153, 18